Diffraction record for Li3Ti3CrO8. The XRD peak list is calculated, not measured: it uses a PBE+U-relaxed structure and copper Kα.
Lines closer than 0.1° are merged.

```
data_Li3Ti3CrO8
_cell_length_a 10.229
_cell_length_b 5.907
_cell_length_c 6.016
_cell_angle_alpha 90.00
_cell_angle_beta 124.44
_cell_angle_gamma 90.00
_symmetry_space_group_name_H-M 'C 1 2/m 1'
_symmetry_Int_Tables_number 12
loop_
_symmetry_equiv_pos_as_xyz
'x,y,z'
'-x,-y,-z'
'-x,y,-z'
'x,-y,z'
'x+1/2,y+1/2,z'
'-x+1/2,-y+1/2,-z'
'-x+1/2,y+1/2,-z'
'x+1/2,-y+1/2,z'
loop_
_atom_site_label
_atom_site_type_symbol
_atom_site_fract_x
_atom_site_fract_y
_atom_site_fract_z
Li1 Li 0.000 0.000 0.000
Li2 Li 0.250 0.250 0.000
Ti1 Ti 0.000 0.500 0.500
Ti2 Ti 0.250 0.250 0.500
Cr1 Cr 0.000 0.000 0.500
O1 O 0.009 0.247 0.281
O2 O 0.238 0.000 0.719
O3 O 0.246 0.500 0.736
```

Principal peaks in the range 15° ≤ 2θ ≤ 90°, low angle first:
d/Å  2theta  Rel. int.  index
4.962  17.9  100  0 0 1
2.521  35.6  35  4 0 -1
2.419  37.2  7  4 0 -2
2.108  42.9  75  4 0 0
1.940  46.8  11  2 2 1
1.635  56.3  14  2 2 -3
1.505  61.6  20  2 2 2
1.477  62.9  20  0 4 0
1.415  66.0  13  6 2 -3
1.209  79.2  9  4 4 0